1.
This entry pairs a crystal structure of LiDy4YSe8 with its computed X-ray powder pattern. Radiation: a wavelength of 1.5418 Å. Structure: a cell relaxed with GGA-PBE.
No peak broadening, texture or thermal motion is included.

Largest 12 diffraction maxima, in order of rising 2θ, 5° ≤ 2θ ≤ 70°:
- 2θ 12.96, rel. 398
- 2θ 14.98, rel. 142
- 2θ 21.24, rel. 123
- 2θ 24.97, rel. 782
- 2θ 30.22, rel. 789
- 2θ 39.59, rel. 443
- 2θ 43.27, rel. 1000
- 2θ 50.60, rel. 113
- 2θ 53.68, rel. 194
- 2θ 60.08, rel. 183
- 2θ 62.85, rel. 157
- 2θ 68.72, rel. 126

Structural model:
a b c (Å): 8.367 8.367 8.367
angles (deg): 59.96 59.96 59.96
Positions (direct):
Li1 0.000 0.000 0.000
Dy1 0.110 0.630 0.630
Dy2 0.250 0.250 0.250
Dy3 0.630 0.110 0.630
Dy4 0.630 0.630 0.110
Y1 0.630 0.630 0.630
Se1 0.384 0.384 0.384
Se2 0.384 0.384 0.850
Se3 0.384 0.850 0.384
Se4 0.391 0.870 0.870
Se5 0.850 0.384 0.384
Se6 0.870 0.391 0.870
Se7 0.870 0.870 0.391
Se8 0.870 0.870 0.870

***

2.
This entry pairs a crystal structure of Li4DyY3Se8 with its computed X-ray powder pattern. Radiation: a wavelength of 1.5418 Å. Structure: a cell relaxed with GGA-PBE.
No peak broadening, texture or thermal motion is included.

Largest 12 diffraction maxima, in order of rising 2θ, 5° ≤ 2θ ≤ 70°:
- 2θ 13.61, rel. 325
- 2θ 25.67, rel. 244
- 2θ 31.30, rel. 1000
- 2θ 34.28, rel. 124
- 2θ 41.29, rel. 56
- 2θ 44.51, rel. 372
- 2θ 45.20, rel. 355
- 2θ 46.76, rel. 89
- 2θ 55.42, rel. 192
- 2θ 56.60, rel. 60
- 2θ 62.59, rel. 46
- 2θ 65.31, rel. 116

Structural model:
a b c (Å): 8.025 8.025 8.025
angles (deg): 60.97 60.97 60.97
Positions (direct):
Li1 0.000 0.000 0.000
Li2 0.000 0.500 0.500
Li3 0.500 0.000 0.500
Li4 0.500 0.500 0.000
Dy1 0.500 0.500 0.500
Y1 0.000 0.000 0.500
Y2 0.000 0.500 0.000
Y3 0.500 0.000 0.000
Se1 0.249 0.249 0.748
Se2 0.249 0.748 0.249
Se3 0.251 0.251 0.251
Se4 0.252 0.751 0.751
Se5 0.748 0.249 0.249
Se6 0.749 0.749 0.749
Se7 0.751 0.252 0.751
Se8 0.751 0.751 0.252

***

3.
This entry pairs a crystal structure of Li4DySi4 with its computed X-ray powder pattern. Radiation: a wavelength of 1.5418 Å. Structure: a cell relaxed with GGA-PBE.
No peak broadening, texture or thermal motion is included.

Largest 12 diffraction maxima, in order of rising 2θ, 5° ≤ 2θ ≤ 70°:
- 2θ 18.25, rel. 1000
- 2θ 21.22, rel. 260
- 2θ 29.93, rel. 561
- 2θ 30.19, rel. 219
- 2θ 35.05, rel. 352
- 2θ 35.50, rel. 659
- 2θ 36.98, rel. 196
- 2θ 48.45, rel. 214
- 2θ 48.63, rel. 143
- 2θ 56.81, rel. 131
- 2θ 57.12, rel. 139
- 2θ 65.11, rel. 145

Structural model:
a b c (Å): 5.921 5.921 8.518
angles (deg): 90.00 90.00 90.00
Positions (direct):
Li1 0.007 0.250 0.162
Li2 0.250 0.007 0.662
Li3 0.250 0.493 0.662
Li4 0.493 0.250 0.162
Li5 0.507 0.750 0.838
Li6 0.750 0.507 0.338
Li7 0.750 0.993 0.338
Li8 0.993 0.750 0.838
Dy1 0.250 0.750 0.250
Dy2 0.750 0.250 0.750
Si1 0.051 0.250 0.461
Si2 0.250 0.051 0.961
Si3 0.250 0.449 0.961
Si4 0.449 0.250 0.461
Si5 0.551 0.750 0.539
Si6 0.750 0.551 0.039
Si7 0.750 0.949 0.039
Si8 0.949 0.750 0.539

***

4.
This entry pairs a crystal structure of Li2Dy2Si3 with its computed X-ray powder pattern. Radiation: a wavelength of 1.5418 Å. Structure: a cell relaxed with GGA-PBE.
No peak broadening, texture or thermal motion is included.

Largest 12 diffraction maxima, in order of rising 2θ, 5° ≤ 2θ ≤ 70°:
- 2θ 9.82, rel. 205
- 2θ 21.45, rel. 468
- 2θ 23.82, rel. 509
- 2θ 26.65, rel. 376
- 2θ 32.69, rel. 222
- 2θ 34.46, rel. 655
- 2θ 35.29, rel. 1000
- 2θ 42.47, rel. 208
- 2θ 45.39, rel. 190
- 2θ 49.27, rel. 150
- 2θ 52.86, rel. 191
- 2θ 57.89, rel. 169

Structural model:
a b c (Å): 9.255 9.255 6.689
angles (deg): 90.00 90.00 153.41
Positions (direct):
Li1 0.190 0.810 0.561
Li2 0.190 0.810 0.939
Li3 0.810 0.190 0.061
Li4 0.810 0.190 0.439
Dy1 0.343 0.657 0.750
Dy2 0.448 0.552 0.250
Dy3 0.552 0.448 0.750
Dy4 0.657 0.343 0.250
Si1 0.060 0.940 0.072
Si2 0.060 0.940 0.428
Si3 0.279 0.721 0.250
Si4 0.721 0.279 0.750
Si5 0.940 0.060 0.572
Si6 0.940 0.060 0.928

***

5.
This entry pairs a crystal structure of Li2SmDy2Si2 with its computed X-ray powder pattern. Radiation: a wavelength of 1.5418 Å. Structure: a cell relaxed with GGA-PBE.
No peak broadening, texture or thermal motion is included.

Largest 12 diffraction maxima, in order of rising 2θ, 5° ≤ 2θ ≤ 70°:
- 2θ 23.25, rel. 1000
- 2θ 33.07, rel. 594
- 2θ 35.63, rel. 694
- 2θ 40.42, rel. 528
- 2θ 47.15, rel. 153
- 2θ 51.31, rel. 164
- 2θ 53.18, rel. 155
- 2θ 54.96, rel. 200
- 2θ 60.67, rel. 125
- 2θ 63.81, rel. 124
- 2θ 67.49, rel. 190
- 2θ 68.86, rel. 142

Structural model:
a b c (Å): 9.227 9.227 9.227
angles (deg): 27.99 27.99 27.99
Positions (direct):
Li1 0.097 0.097 0.097
Li2 0.903 0.903 0.903
Sm1 0.500 0.500 0.500
Dy1 0.372 0.372 0.372
Dy2 0.628 0.628 0.628
Si1 0.239 0.239 0.239
Si2 0.761 0.761 0.761

***

6.
This entry pairs a crystal structure of LiSm5Dy4 with its computed X-ray powder pattern. Radiation: a wavelength of 1.5418 Å. Structure: a cell relaxed with GGA-PBE.
No peak broadening, texture or thermal motion is included.

Largest 12 diffraction maxima, in order of rising 2θ, 5° ≤ 2θ ≤ 70°:
- 2θ 28.83, rel. 102
- 2θ 30.91, rel. 1000
- 2θ 33.18, rel. 57
- 2θ 35.26, rel. 384
- 2θ 36.99, rel. 123
- 2θ 49.19, rel. 75
- 2θ 50.72, rel. 137
- 2θ 52.03, rel. 180
- 2θ 59.08, rel. 87
- 2θ 60.59, rel. 295
- 2θ 62.90, rel. 61
- 2θ 64.41, rel. 94

Structural model:
a b c (Å): 3.600 3.600 24.303
angles (deg): 90.00 90.00 90.00
Positions (direct):
Li1 0.000 0.000 0.000
Sm1 0.500 0.500 0.086
Sm2 0.500 0.500 0.292
Sm3 0.500 0.500 0.500
Sm4 0.500 0.500 0.708
Sm5 0.500 0.500 0.914
Dy1 0.000 0.000 0.188
Dy2 0.000 0.000 0.396
Dy3 0.000 0.000 0.604
Dy4 0.000 0.000 0.812

***

7.
This entry pairs a crystal structure of Li2Dy5Sn4 with its computed X-ray powder pattern. Radiation: a wavelength of 1.5418 Å. Structure: a cell relaxed with GGA-PBE.
No peak broadening, texture or thermal motion is included.

Largest 12 diffraction maxima, in order of rising 2θ, 5° ≤ 2θ ≤ 70°:
- 2θ 25.34, rel. 282
- 2θ 27.02, rel. 721
- 2θ 27.99, rel. 464
- 2θ 28.65, rel. 794
- 2θ 33.35, rel. 1000
- 2θ 34.68, rel. 315
- 2θ 35.06, rel. 759
- 2θ 40.31, rel. 485
- 2θ 40.69, rel. 443
- 2θ 46.39, rel. 248
- 2θ 51.12, rel. 388
- 2θ 63.52, rel. 277

Structural model:
a b c (Å): 10.888 10.888 10.888
angles (deg): 161.12 135.01 49.20
Positions (direct):
Li1 0.079 0.079 0.000
Li2 0.921 0.921 0.000
Dy1 0.132 0.344 0.787
Dy2 0.443 0.656 0.787
Dy3 0.500 0.000 0.500
Dy4 0.557 0.344 0.213
Dy5 0.868 0.656 0.213
Sn1 0.187 0.500 0.687
Sn2 0.214 0.214 0.000
Sn3 0.786 0.786 0.000
Sn4 0.813 0.500 0.313

***

8.
This entry pairs a crystal structure of SrLi2Dy2Sn2 with its computed X-ray powder pattern. Radiation: a wavelength of 1.5418 Å. Structure: a cell relaxed with GGA-PBE.
No peak broadening, texture or thermal motion is included.

Largest 12 diffraction maxima, in order of rising 2θ, 5° ≤ 2θ ≤ 70°:
- 2θ 9.41, rel. 365
- 2θ 21.26, rel. 663
- 2θ 21.96, rel. 215
- 2θ 30.66, rel. 502
- 2θ 33.10, rel. 1000
- 2θ 36.84, rel. 837
- 2θ 48.66, rel. 139
- 2θ 50.35, rel. 310
- 2θ 56.59, rel. 184
- 2θ 62.36, rel. 167
- 2θ 64.00, rel. 305
- 2θ 66.37, rel. 153

Structural model:
a b c (Å): 9.812 9.812 9.812
angles (deg): 28.80 28.80 28.80
Positions (direct):
Sr1 0.000 0.000 0.000
Li1 0.418 0.418 0.418
Li2 0.582 0.582 0.582
Dy1 0.132 0.132 0.132
Dy2 0.868 0.868 0.868
Sn1 0.252 0.252 0.252
Sn2 0.748 0.748 0.748

***

9.
This entry pairs a crystal structure of LiDy4Te4 with its computed X-ray powder pattern. Radiation: a wavelength of 1.5418 Å. Structure: a cell relaxed with GGA-PBE.
No peak broadening, texture or thermal motion is included.

Largest 12 diffraction maxima, in order of rising 2θ, 5° ≤ 2θ ≤ 70°:
- 2θ 13.87, rel. 77
- 2θ 27.94, rel. 1000
- 2θ 29.53, rel. 597
- 2θ 34.74, rel. 724
- 2θ 39.93, rel. 289
- 2θ 41.11, rel. 718
- 2θ 50.44, rel. 285
- 2θ 53.94, rel. 90
- 2θ 55.81, rel. 184
- 2θ 61.30, rel. 75
- 2θ 61.83, rel. 375
- 2θ 68.67, rel. 150

Structural model:
a b c (Å): 9.031 9.031 6.049
angles (deg): 90.00 90.00 90.00
Positions (direct):
Li1 0.250 0.750 0.250
Li2 0.750 0.250 0.750
Dy1 0.054 0.250 0.502
Dy2 0.250 0.054 0.002
Dy3 0.250 0.446 0.002
Dy4 0.446 0.250 0.502
Dy5 0.554 0.750 0.498
Dy6 0.750 0.554 0.998
Dy7 0.750 0.946 0.998
Dy8 0.946 0.750 0.498
Te1 0.028 0.750 0.991
Te2 0.250 0.528 0.509
Te3 0.250 0.972 0.509
Te4 0.472 0.750 0.991
Te5 0.528 0.250 0.009
Te6 0.750 0.028 0.491
Te7 0.750 0.472 0.491
Te8 0.972 0.250 0.009

***

10.
This entry pairs a crystal structure of Li3Dy5Te8 with its computed X-ray powder pattern. Radiation: a wavelength of 1.5418 Å. Structure: a cell relaxed with GGA-PBE.
No peak broadening, texture or thermal motion is included.

Largest 12 diffraction maxima, in order of rising 2θ, 5° ≤ 2θ ≤ 70°:
- 2θ 12.50, rel. 169
- 2θ 24.14, rel. 151
- 2θ 29.19, rel. 1000
- 2θ 31.85, rel. 79
- 2θ 41.68, rel. 378
- 2θ 41.83, rel. 377
- 2θ 51.58, rel. 67
- 2θ 51.82, rel. 201
- 2θ 57.86, rel. 43
- 2θ 60.53, rel. 125
- 2θ 68.49, rel. 170
- 2θ 68.69, rel. 171

Structural model:
a b c (Å): 8.667 8.667 8.667
angles (deg): 59.78 59.78 59.78
Positions (direct):
Li1 0.000 0.500 0.500
Li2 0.500 0.000 0.500
Li3 0.500 0.500 0.000
Dy1 0.000 0.000 0.000
Dy2 0.000 0.000 0.500
Dy3 0.000 0.500 0.000
Dy4 0.500 0.000 0.000
Dy5 0.500 0.500 0.500
Te1 0.250 0.250 0.742
Te2 0.250 0.742 0.250
Te3 0.252 0.252 0.252
Te4 0.258 0.750 0.750
Te5 0.742 0.250 0.250
Te6 0.748 0.748 0.748
Te7 0.750 0.258 0.750
Te8 0.750 0.750 0.258

***

11.
This entry pairs a crystal structure of Li4DyTh3Te8 with its computed X-ray powder pattern. Radiation: a wavelength of 1.5418 Å. Structure: a cell relaxed with GGA-PBE.
No peak broadening, texture or thermal motion is included.

Largest 12 diffraction maxima, in order of rising 2θ, 5° ≤ 2θ ≤ 70°:
- 2θ 12.17, rel. 352
- 2θ 24.20, rel. 330
- 2θ 29.00, rel. 1000
- 2θ 31.55, rel. 232
- 2θ 41.00, rel. 381
- 2θ 41.94, rel. 373
- 2θ 43.84, rel. 98
- 2θ 51.80, rel. 200
- 2θ 57.21, rel. 113
- 2θ 60.09, rel. 124
- 2θ 67.41, rel. 166
- 2θ 68.76, rel. 170

Structural model:
a b c (Å): 8.811 8.811 8.811
angles (deg): 58.54 58.54 58.54
Positions (direct):
Li1 0.000 0.000 0.000
Li2 0.000 0.500 0.500
Li3 0.500 0.000 0.500
Li4 0.500 0.500 0.000
Dy1 0.500 0.500 0.500
Th1 0.000 0.000 0.500
Th2 0.000 0.500 0.000
Th3 0.500 0.000 0.000
Te1 0.248 0.248 0.739
Te2 0.248 0.739 0.248
Te3 0.257 0.257 0.257
Te4 0.261 0.752 0.752
Te5 0.739 0.248 0.248
Te6 0.743 0.743 0.743
Te7 0.752 0.261 0.752
Te8 0.752 0.752 0.261

***

12.
This entry pairs a crystal structure of LiDy2TmTe5 with its computed X-ray powder pattern. Radiation: a wavelength of 1.5418 Å. Structure: a cell relaxed with GGA-PBE.
No peak broadening, texture or thermal motion is included.

Largest 12 diffraction maxima, in order of rising 2θ, 5° ≤ 2θ ≤ 70°:
- 2θ 25.20, rel. 153
- 2θ 28.78, rel. 123
- 2θ 29.49, rel. 1000
- 2θ 29.97, rel. 353
- 2θ 32.02, rel. 128
- 2θ 34.88, rel. 551
- 2θ 37.43, rel. 104
- 2θ 41.97, rel. 261
- 2θ 42.43, rel. 134
- 2θ 45.47, rel. 121
- 2θ 52.42, rel. 147
- 2θ 61.19, rel. 104

Structural model:
a b c (Å): 9.434 9.434 13.146
angles (deg): 90.00 90.00 153.62
Positions (direct):
Li1 0.058 0.942 0.500
Li2 0.942 0.058 0.000
Dy1 0.373 0.627 0.335
Dy2 0.395 0.605 0.721
Dy3 0.605 0.395 0.221
Dy4 0.627 0.373 0.835
Tm1 0.303 0.697 0.046
Tm2 0.697 0.303 0.546
Te1 0.002 0.998 0.820
Te2 0.138 0.862 0.036
Te3 0.189 0.811 0.381
Te4 0.218 0.782 0.705
Te5 0.454 0.546 0.111
Te6 0.546 0.454 0.611
Te7 0.782 0.218 0.205
Te8 0.811 0.189 0.881
Te9 0.862 0.138 0.536
Te10 0.998 0.002 0.320